Li2FeOF3: theoretical powder X-ray diffraction pattern (Cu Kα), based on a cell relaxed with PBE+U.
Kinematic intensities with the Lorentz-polarization factor, no thermal factor.

Most intense lines, 10° ≤ 2θ ≤ 80°, in order of falling intensity:
d [Å]  I/Imax
3.738  100
2.065  73
4.882  67
5.807  45
2.199  41
1.505  37
3.506  31
2.623  22
2.496  17
1.618  16

```
data_Li2FeOF3
_symmetry_space_group_name_H-M 'P 1'
_symmetry_Int_Tables_number 1
_symmetry_space_group_name_Hall 'P 1'
_cell_length_a 5.290
_cell_length_b 5.807
_cell_length_c 9.843
_cell_angle_alpha 90.00
_cell_angle_beta 97.24
_cell_angle_gamma 90.00
loop_
_atom_site_label
_atom_site_type_symbol
_atom_site_fract_x
_atom_site_fract_y
_atom_site_fract_z
Li1 Li 0.000 0.097 0.000
Li2 Li 0.000 0.903 0.500
Li3 Li 0.486 0.130 0.487
Li4 Li 0.486 0.870 0.987
Li5 Li 0.525 0.372 0.987
Li6 Li 0.525 0.628 0.487
Li7 Li 0.756 0.123 0.253
Li8 Li 0.756 0.877 0.753
Fe1 Fe 0.238 0.364 0.239
Fe2 Fe 0.238 0.636 0.739
Fe3 Fe 0.753 0.393 0.739
Fe4 Fe 0.753 0.607 0.239
O1 O 0.572 0.390 0.344
O2 O 0.572 0.610 0.844
O3 O 0.898 0.370 0.138
O4 O 0.898 0.630 0.638
F1 F 0.102 0.374 0.851
F2 F 0.102 0.626 0.351
F3 F 0.137 0.126 0.367
F4 F 0.137 0.874 0.867
F5 F 0.354 0.143 0.099
F6 F 0.354 0.857 0.599
F7 F 0.405 0.392 0.615
F8 F 0.405 0.608 0.115
F9 F 0.667 0.132 0.875
F10 F 0.667 0.868 0.375
F11 F 0.810 0.121 0.622
F12 F 0.810 0.879 0.122
```

Li8FeO4F2: theoretical powder X-ray diffraction pattern (Cu Kα), based on a cell relaxed with PBE+U.
Kinematic intensities with the Lorentz-polarization factor, no thermal factor.

Most intense lines, 10° ≤ 2θ ≤ 80°, in order of falling intensity:
d [Å]  I/Imax
4.414  100
2.639  96
2.532  85
4.784  51
4.647  48
4.173  41
1.774  36
3.857  36
2.070  35
5.389  33

```
data_Li8FeO4F2
_symmetry_space_group_name_H-M 'P 1'
_symmetry_Int_Tables_number 1
_symmetry_space_group_name_Hall 'P 1'
_cell_length_a 5.449
_cell_length_b 5.592
_cell_length_c 11.004
_cell_angle_alpha 78.39
_cell_angle_beta 84.81
_cell_angle_gamma 62.60
loop_
_atom_site_label
_atom_site_type_symbol
_atom_site_fract_x
_atom_site_fract_y
_atom_site_fract_z
Li1 Li 0.042 0.226 0.332
Li2 Li 0.085 0.911 0.165
Li3 Li 0.263 0.368 0.811
Li4 Li 0.282 0.666 0.953
Li5 Li 0.285 0.064 0.685
Li6 Li 0.369 0.304 0.186
Li7 Li 0.426 0.534 0.325
Li8 Li 0.437 0.835 0.466
Li9 Li 0.563 0.165 0.534
Li10 Li 0.574 0.466 0.675
Li11 Li 0.631 0.696 0.814
Li12 Li 0.715 0.936 0.315
Li13 Li 0.718 0.334 0.047
Li14 Li 0.737 0.632 0.189
Li15 Li 0.915 0.089 0.835
Li16 Li 0.958 0.774 0.668
Fe1 Fe 0.000 0.500 0.500
Fe2 Fe 0.500 0.000 0.000
O1 O 0.263 0.436 0.628
O2 O 0.291 0.005 0.865
O3 O 0.378 0.213 0.378
O4 O 0.422 0.638 0.119
O5 O 0.578 0.362 0.881
O6 O 0.622 0.787 0.622
O7 O 0.709 0.995 0.135
O8 O 0.737 0.564 0.372
F1 F 0.037 0.289 0.148
F2 F 0.093 0.860 0.359
F3 F 0.907 0.140 0.641
F4 F 0.963 0.711 0.852
```

LiFe8O14F2: theoretical powder X-ray diffraction pattern (Cu Kα), based on a cell relaxed with PBE+U.
Kinematic intensities with the Lorentz-polarization factor, no thermal factor.

Most intense lines, 10° ≤ 2θ ≤ 80°, in order of falling intensity:
d [Å]  I/Imax
3.377  100
3.331  99
2.516  50
1.713  31
1.732  27
2.505  25
2.529  24
1.665  16
1.688  15
1.744  14

```
data_LiFe8O14F2
_symmetry_space_group_name_H-M 'P 1'
_symmetry_Int_Tables_number 1
_symmetry_space_group_name_Hall 'P 1'
_cell_length_a 5.547
_cell_length_b 7.292
_cell_length_c 7.397
_cell_angle_alpha 81.36
_cell_angle_beta 70.79
_cell_angle_gamma 71.20
loop_
_atom_site_label
_atom_site_type_symbol
_atom_site_fract_x
_atom_site_fract_y
_atom_site_fract_z
Li1 Li 0.000 0.000 0.000
Fe1 Fe 0.191 0.640 0.649
Fe2 Fe 0.211 0.164 0.639
Fe3 Fe 0.222 0.631 0.165
Fe4 Fe 0.252 0.139 0.159
Fe5 Fe 0.690 0.887 0.886
Fe6 Fe 0.691 0.400 0.878
Fe7 Fe 0.713 0.390 0.406
Fe8 Fe 0.731 0.892 0.389
O1 O 0.031 0.423 0.736
O2 O 0.043 0.744 0.901
O3 O 0.064 0.228 0.415
O4 O 0.093 0.899 0.227
O5 O 0.352 0.059 0.880
O6 O 0.364 0.557 0.388
O7 O 0.367 0.375 0.069
O8 O 0.530 0.485 0.669
O9 O 0.551 0.654 0.981
O10 O 0.568 0.160 0.470
O11 O 0.606 0.968 0.146
O12 O 0.851 0.139 0.805
O13 O 0.852 0.814 0.625
O14 O 0.874 0.618 0.313
F1 F 0.356 0.879 0.555
F2 F 0.874 0.291 0.126
```

LiFe6O4F8: theoretical powder X-ray diffraction pattern (Cu Kα), based on a cell relaxed with PBE+U.
Kinematic intensities with the Lorentz-polarization factor, no thermal factor.

Most intense lines, 10° ≤ 2θ ≤ 80°, in order of falling intensity:
d [Å]  I/Imax
3.615  100
3.315  86
2.644  53
1.833  33
2.637  25
2.655  25
1.445  23
1.751  23
1.808  21
1.573  18

```
data_LiFe6O4F8
_symmetry_space_group_name_H-M 'P 1'
_symmetry_Int_Tables_number 1
_symmetry_space_group_name_Hall 'P 1'
_cell_length_a 5.813
_cell_length_b 5.818
_cell_length_c 7.903
_cell_angle_alpha 69.55
_cell_angle_beta 69.25
_cell_angle_gamma 69.51
loop_
_atom_site_label
_atom_site_type_symbol
_atom_site_fract_x
_atom_site_fract_y
_atom_site_fract_z
Li1 Li 0.000 0.000 0.000
Fe1 Fe 0.027 0.606 0.436
Fe2 Fe 0.036 0.576 0.921
Fe3 Fe 0.367 0.945 0.599
Fe4 Fe 0.428 0.882 0.116
Fe5 Fe 0.675 0.264 0.289
Fe6 Fe 0.721 0.230 0.748
O1 O 0.035 0.948 0.769
O2 O 0.327 0.299 0.441
O3 O 0.701 0.574 0.110
O4 O 0.731 0.900 0.436
F1 F 0.103 0.182 0.100
F2 F 0.139 0.687 0.153
F3 F 0.265 0.814 0.417
F4 F 0.419 0.544 0.758
F5 F 0.471 0.006 0.805
F6 F 0.643 0.138 0.071
F7 F 0.817 0.368 0.453
F8 F 0.934 0.493 0.715
```

Li4FeO3F: theoretical powder X-ray diffraction pattern (Cu Kα), based on a cell relaxed with PBE+U.
Kinematic intensities with the Lorentz-polarization factor, no thermal factor.

Most intense lines, 10° ≤ 2θ ≤ 80°, in order of falling intensity:
d [Å]  I/Imax
4.170  100
2.818  77
4.032  56
4.206  48
3.334  36
2.746  29
3.129  24
5.636  24
1.604  23
1.949  22

```
data_Li4FeO3F
_symmetry_space_group_name_H-M 'P 1'
_symmetry_Int_Tables_number 1
_symmetry_space_group_name_Hall 'P 1'
_cell_length_a 5.638
_cell_length_b 5.638
_cell_length_c 6.258
_cell_angle_alpha 90.50
_cell_angle_beta 90.50
_cell_angle_gamma 88.68
loop_
_atom_site_label
_atom_site_type_symbol
_atom_site_fract_x
_atom_site_fract_y
_atom_site_fract_z
Li1 Li 0.002 0.998 0.500
Li2 Li 0.205 0.318 0.695
Li3 Li 0.317 0.567 0.014
Li4 Li 0.318 0.205 0.195
Li5 Li 0.497 0.818 0.283
Li6 Li 0.567 0.317 0.514
Li7 Li 0.818 0.497 0.783
Li8 Li 0.998 0.002 0.000
Fe1 Fe 0.474 0.856 0.749
Fe2 Fe 0.856 0.474 0.249
O1 O 0.034 0.362 0.014
O2 O 0.340 0.923 0.014
O3 O 0.362 0.034 0.514
O4 O 0.465 0.527 0.738
O5 O 0.527 0.465 0.238
O6 O 0.923 0.340 0.514
F1 F 0.839 0.867 0.756
F2 F 0.867 0.839 0.256
```

Li2FeO2F: theoretical powder X-ray diffraction pattern (Cu Kα), based on a cell relaxed with PBE+U.
Kinematic intensities with the Lorentz-polarization factor, no thermal factor.

Most intense lines, 10° ≤ 2θ ≤ 80°, in order of falling intensity:
d [Å]  I/Imax
4.887  100
2.135  82
2.088  41
4.529  39
3.322  39
2.570  26
2.152  23
1.494  21
4.308  21
1.491  21

```
data_Li2FeO2F
_symmetry_space_group_name_H-M 'P 1'
_symmetry_Int_Tables_number 1
_symmetry_space_group_name_Hall 'P 1'
_cell_length_a 5.212
_cell_length_b 5.212
_cell_length_c 5.146
_cell_angle_alpha 98.93
_cell_angle_beta 98.93
_cell_angle_gamma 120.69
loop_
_atom_site_label
_atom_site_type_symbol
_atom_site_fract_x
_atom_site_fract_y
_atom_site_fract_z
Li1 Li 0.000 0.000 0.000
Li2 Li 0.173 0.827 0.500
Li3 Li 0.500 0.500 0.500
Li4 Li 0.827 0.173 0.500
Fe1 Fe 0.311 0.689 0.000
Fe2 Fe 0.689 0.311 0.000
O1 O 0.086 0.430 0.233
O2 O 0.430 0.086 0.233
O3 O 0.570 0.914 0.767
O4 O 0.914 0.570 0.767
F1 F 0.262 0.262 0.754
F2 F 0.738 0.738 0.246
```

LiFe2O2F3: theoretical powder X-ray diffraction pattern (Cu Kα), based on a cell relaxed with PBE+U.
Kinematic intensities with the Lorentz-polarization factor, no thermal factor.

Most intense lines, 10° ≤ 2θ ≤ 80°, in order of falling intensity:
d [Å]  I/Imax
5.112  100
3.579  93
2.810  55
1.918  34
4.966  31
1.567  29
1.891  27
2.007  26
4.467  21
2.932  21

```
data_LiFe2O2F3
_symmetry_space_group_name_H-M 'P 1'
_symmetry_Int_Tables_number 1
_symmetry_space_group_name_Hall 'P 1'
_cell_length_a 5.324
_cell_length_b 5.324
_cell_length_c 10.224
_cell_angle_alpha 90.00
_cell_angle_beta 90.00
_cell_angle_gamma 137.76
loop_
_atom_site_label
_atom_site_type_symbol
_atom_site_fract_x
_atom_site_fract_y
_atom_site_fract_z
Li1 Li 0.185 0.815 0.750
Li2 Li 0.815 0.185 0.250
Fe1 Fe 0.152 0.848 0.057
Fe2 Fe 0.152 0.848 0.443
Fe3 Fe 0.848 0.152 0.557
Fe4 Fe 0.848 0.152 0.943
O1 O 0.313 0.687 0.564
O2 O 0.313 0.687 0.936
O3 O 0.687 0.313 0.064
O4 O 0.687 0.313 0.436
F1 F 0.041 0.959 0.616
F2 F 0.041 0.959 0.884
F3 F 0.235 0.765 0.250
F4 F 0.765 0.235 0.750
F5 F 0.959 0.041 0.116
F6 F 0.959 0.041 0.384
```

LiFe3O2F6: theoretical powder X-ray diffraction pattern (Cu Kα), based on a cell relaxed with PBE+U.
Kinematic intensities with the Lorentz-polarization factor, no thermal factor.

Most intense lines, 10° ≤ 2θ ≤ 80°, in order of falling intensity:
d [Å]  I/Imax
4.962  100
2.107  25
2.119  24
2.214  24
5.721  17
2.580  15
5.160  11
4.547  11
2.540  11
1.630  11

```
data_LiFe3O2F6
_symmetry_space_group_name_H-M 'P 1'
_symmetry_Int_Tables_number 1
_symmetry_space_group_name_Hall 'P 1'
_cell_length_a 5.274
_cell_length_b 5.357
_cell_length_c 6.050
_cell_angle_alpha 71.14
_cell_angle_beta 88.11
_cell_angle_gamma 78.24
loop_
_atom_site_label
_atom_site_type_symbol
_atom_site_fract_x
_atom_site_fract_y
_atom_site_fract_z
Li1 Li 0.000 0.000 0.000
Fe1 Fe 0.266 0.504 0.867
Fe2 Fe 0.749 0.514 0.116
Fe3 Fe 0.763 0.560 0.619
O1 O 0.635 0.326 0.918
O2 O 0.906 0.723 0.830
F1 F 0.108 0.266 0.148
F2 F 0.114 0.301 0.698
F3 F 0.373 0.723 0.052
F4 F 0.396 0.743 0.577
F5 F 0.682 0.324 0.440
F6 F 0.854 0.755 0.288
```